Computed X-ray powder pattern of Sm4MgTi2Mn2O12 for Cu Ka, from a crystal structure in Alexandria, relaxed with PBE+U.
Peak positions follow from Bragg's law for the DFT cell and can differ from measured ones.

Top 8 peaks for 10 to 90 degrees two-theta, by angle:
Position (°2θ)  I/Imax  h k l
21.02  58  0 0 2
23.74  49  1 1 -1
24.12  45  1 -1 1
30.66  100  -1 1 2
31.00  66  0 2 -1
31.94  81  1 1 2
32.61  51  2 0 0
37.49  66  1 1 -3

Structural model:
```
Sm4MgTi2Mn2O12
1.0
5.499 0.000 0.000
-0.066 6.000 0.000
-0.390 -0.585 8.452
Sm Mg Ti Mn O
4 1 2 2 12
direct
0.000 0.000 0.000
0.044 0.783 0.553
0.470 0.300 0.548
0.584 0.490 0.986
0.918 0.181 0.366
0.029 0.391 0.767
0.493 0.843 0.274
0.086 0.523 0.185
0.507 0.902 0.798
0.187 0.360 0.980
0.213 0.086 0.707
0.241 0.059 0.354
0.328 0.603 0.377
0.329 0.582 0.721
0.379 0.852 0.043
0.702 0.970 0.465
0.727 0.202 0.812
0.802 0.271 0.165
0.814 0.759 0.177
0.843 0.705 0.819
0.890 0.417 0.539
```



Computed X-ray powder pattern of SrMg14MnO16 for Cu Ka, from a crystal structure in Alexandria, relaxed with PBE+U.
Peak positions follow from Bragg's law for the DFT cell and can differ from measured ones.

Top 8 peaks for 10 to 90 degrees two-theta, by angle:
Position (°2θ)  I/Imax  h k l
14.43  14  1 1 0
35.65  32  2 2 1
40.96  54  0 0 2
41.61  100  4 0 0
59.81  59  4 0 2
60.31  28  4 4 0
72.07  12  6 2 1
75.49  26  4 4 2

Structural model:
```
SrMg14MnO16
1.0
8.681 0.000 0.000
0.000 8.681 0.000
0.000 0.000 4.407
Sr Mg Mn O
1 14 1 16
direct
0.000 0.000 0.000
0.000 0.260 0.500
0.000 0.500 0.000
0.000 0.740 0.500
0.249 0.500 0.500
0.255 0.255 0.000
0.255 0.745 0.000
0.260 0.000 0.500
0.500 0.000 0.000
0.500 0.249 0.500
0.500 0.751 0.500
0.740 0.000 0.500
0.745 0.255 0.000
0.745 0.745 0.000
0.751 0.500 0.500
0.500 0.500 0.000
0.000 0.000 0.500
0.000 0.271 0.000
0.000 0.500 0.500
0.000 0.729 0.000
0.247 0.500 0.000
0.251 0.251 0.500
0.251 0.749 0.500
0.271 0.000 0.000
0.500 0.000 0.500
0.500 0.247 0.000
0.500 0.500 0.500
0.500 0.753 0.000
0.729 0.000 0.000
0.749 0.251 0.500
0.749 0.749 0.500
0.753 0.500 0.000
```